[1]
# ZnCo2S4
Simulated X-ray diffraction stick pattern, a wavelength of 1.5418 Å. Input: a PBE-relaxed structure.
Lines closer than 0.1° are merged.

The 6 most intense peaks (10 to 80 degrees two-theta), in order of falling intensity:
d [Å]  2theta  I (rel.)
2.436  36.90  100
5.600  15.83  65
1.705  53.77  59
2.387  37.69  48
1.716  53.39  15
1.729  52.97  15

Cell and atoms:
```
ZnCo2S4
1.0
-3.4322 3.4574 4.7731
3.4322 -3.4574 4.7731
3.4322 3.4574 -4.7731
Zn Co S
2 4 8
Direct
0.0000 0.0000 0.0000
0.5000 0.0000 0.5000
0.0000 0.5000 0.5000
0.5000 0.0000 0.0000
0.5000 0.5000 0.0000
0.5000 0.5000 0.5000
0.2675 0.2960 0.5285
0.2675 0.7390 0.9715
0.2793 0.7429 0.5363
0.2934 0.2571 0.0363
0.7066 0.7429 0.9637
0.7207 0.2571 0.4637
0.7325 0.2610 0.0285
0.7325 0.7040 0.4715
```

=====

[2]
# ZnCo2S4
Simulated X-ray diffraction stick pattern, a wavelength of 1.5418 Å. Input: a PBE-relaxed structure.
Lines closer than 0.1° are merged.

The 6 most intense peaks (10 to 80 degrees two-theta), in order of falling intensity:
d [Å]  2theta  I (rel.)
2.902  30.81  100
1.701  53.89  79
1.852  49.19  58
3.403  26.19  40
2.406  37.37  39
5.557  15.95  18

Cell and atoms:
```
ZnCo2S4
1.0
0.0000 4.8123 4.8123
4.8123 0.0000 4.8123
4.8123 4.8123 0.0000
Zn Co S
2 4 8
Direct
0.1250 0.1250 0.1250
0.8750 0.8750 0.8750
0.0000 0.5000 0.5000
0.5000 0.0000 0.5000
0.5000 0.5000 0.0000
0.5000 0.5000 0.5000
0.2661 0.2661 0.2661
0.2661 0.2661 0.7018
0.2661 0.7018 0.2661
0.2982 0.7339 0.7339
0.7018 0.2661 0.2661
0.7339 0.2982 0.7339
0.7339 0.7339 0.2982
0.7339 0.7339 0.7339
```

=====

[3]
# ZnCo4S8
Simulated X-ray diffraction stick pattern, a wavelength of 1.5418 Å. Input: a PBE-relaxed structure.
Lines closer than 0.1° are merged.

The 6 most intense peaks (10 to 80 degrees two-theta), in order of falling intensity:
d [Å]  2theta  I (rel.)
2.405  37.40  100
5.923  14.96  72
1.651  55.67  30
1.754  52.14  29
1.898  47.92  16
5.444  16.28  15

Cell and atoms:
```
ZnCo4S8
1.0
3.3020 1.9064 5.9233
-3.3020 1.9064 5.9233
0.0000 -3.8128 5.9233
Zn Co S
1 4 8
Direct
0.0000 0.0000 0.0000
0.0000 0.0000 0.5000
0.0000 0.5000 0.0000
0.5000 0.0000 0.0000
0.5000 0.5000 0.5000
0.2274 0.7386 0.7386
0.2353 0.2353 0.2353
0.2614 0.2614 0.7726
0.2614 0.7726 0.2614
0.7386 0.2274 0.7386
0.7386 0.7386 0.2274
0.7647 0.7647 0.7647
0.7726 0.2614 0.2614
```

=====

[4]
# ZnCo4S8
Simulated X-ray diffraction stick pattern, a wavelength of 1.5418 Å. Input: a PBE-relaxed structure.
Lines closer than 0.1° are merged.

The 6 most intense peaks (10 to 80 degrees two-theta), in order of falling intensity:
d [Å]  2theta  I (rel.)
2.379  37.81  100
5.368  16.51  50
1.703  53.83  32
1.663  55.25  28
5.539  16.00  22
2.901  30.82  18

Cell and atoms:
```
ZnCo4S8
1.0
3.4060 1.9665 5.3677
-3.4060 1.9665 5.3677
0.0000 -3.9330 5.3677
Zn Co S
1 4 8
Direct
0.0000 0.0000 0.0000
0.0000 0.5000 0.5000
0.5000 0.0000 0.5000
0.5000 0.5000 0.0000
0.5000 0.5000 0.5000
0.2608 0.2608 0.7078
0.2608 0.7078 0.2608
0.2627 0.2627 0.2627
0.2922 0.7392 0.7392
0.7078 0.2608 0.2608
0.7373 0.7373 0.7373
0.7392 0.2922 0.7392
0.7392 0.7392 0.2922
```